Diffraction record for BaMo2As. The XRD peak list is simulated, not measured: it uses DFT lattice parameters and positions (GGA-PBE) and λ = 1.5418 Å (Cu Kα).

Main lines, sorted by position (15° ≤ 2θ ≤ 90°):
index	Position (°2θ)	d [Å]	I (rel.)
0 1 1	25.38	3.509	57
0 0 2	26.16	3.406	71
1 0 1	31.41	2.848	38
0 1 2	34.28	2.616	100
1 1 -1	35.13	2.555	96
1 1 1	38.50	2.338	68
0 2 0	44.25	2.047	48
1 1 -3	49.59	1.838	43

Cell: 3.4442 4.0937 6.9144 Å, 90.00 99.88 90.00°
Element x y z (fractional)
Ba 0.0000 0.0000 0.0000
Mo 0.3246 0.0000 0.4911
Mo 0.8099 0.5000 0.4522
As 0.4084 0.5000 0.7314